The following is a computed powder XRD pattern of Pu2Hf2S7. It was derived from a structure optimized by DFT (GGA-PBE), using λ = 1.5418 Å (Cu Kα).

a b c (Å): 8.2613 8.2613 8.2613
angles (deg): 153.69 67.25 119.36
Sites, in units of the cell vectors:
Pu: 0.2320 0.0000 0.2320
Pu: 0.7680 0.0000 0.7680
Hf: 0.3112 0.8112 0.5000
Hf: 0.7542 0.7542 0.0000
S: 0.0333 0.7103 0.3230
S: 0.0853 0.0853 0.0000
S: 0.3843 0.4867 0.8977
S: 0.3873 0.7103 0.6770
S: 0.5890 0.4867 0.1023
S: 0.6730 0.3006 0.3725
S: 0.9281 0.3006 0.6275

Largest 6 diffraction maxima, by angle, 15° ≤ 2θ ≤ 90°:
2θ/deg, I (rel.)
25.0, 99.8
26.0, 100.0
29.1, 60.1
37.0, 75.4
42.5, 54.4
45.1, 25.2



The following is a computed powder XRD pattern of Cu2RuO5. It was derived from a structure optimized by DFT (GGA-PBE), using λ = 1.5418 Å (Cu Kα).

a b c (Å): 7.6980 7.6794 5.1992
angles (deg): 90.00 94.51 90.00
Sites, in units of the cell vectors:
Cu: 0.0000 0.2494 0.0000
Cu: 0.0000 0.7506 0.0000
Cu: 0.5000 0.2506 0.0000
Cu: 0.5000 0.7494 0.0000
Ru: 0.2419 0.0000 0.8126
Ru: 0.7419 0.5000 0.8126
O: 0.0193 0.0000 0.9520
O: 0.2295 0.0000 0.4869
O: 0.2481 0.2276 0.9639
O: 0.2481 0.7724 0.9639
O: 0.4756 0.0000 0.9686
O: 0.5193 0.5000 0.9520
O: 0.7295 0.5000 0.4869
O: 0.7481 0.2724 0.9639
O: 0.7481 0.7276 0.9639
O: 0.9756 0.5000 0.9686

Largest 6 diffraction maxima, by angle, 15° ≤ 2θ ≤ 90°:
2θ/deg, I (rel.)
16.3, 59.4
17.1, 100.0
23.1, 16.1
28.9, 18.8
33.0, 22.1
47.4, 20.3